[1]
Diffraction record for NiPt. The powder X-ray diffraction pattern is computed, not measured: it uses a cell relaxed with PBE and Cu Kα, 1.54184 Å.
Intensities are scaled so that the largest is 100.

Top 10 peaks for 2θ from 10° to 80°, by angle:
22.04°, intensity 13; 26.40°, intensity 21; 34.94°, intensity 10; 41.24°, intensity 100; 41.45°, intensity 98; 47.66°, intensity 65; 49.01°, intensity 30; 69.39°, intensity 10; 70.00°, intensity 10; 70.76°, intensity 40

Crystal structure
Cell: 3.718 5.418 8.064 Å, 90.00 90.00 90.00°
Atoms (fractional coordinates):
Ni: 0.000 0.000 0.000
Ni: 0.000 0.000 0.343
Ni: 0.000 0.000 0.657
Ni: 0.000 0.500 0.000
Ni: 0.500 0.237 0.500
Ni: 0.500 0.763 0.500
Pt: 0.000 0.500 0.339
Pt: 0.000 0.500 0.661
Pt: 0.500 0.244 0.168
Pt: 0.500 0.244 0.832
Pt: 0.500 0.756 0.168
Pt: 0.500 0.756 0.832


[2]
Diffraction record for LiMgAg2. The powder X-ray diffraction pattern is computed, not measured: it uses a cell relaxed with PBE and Cu Kα, 1.54184 Å.
Intensities are scaled so that the largest is 100.

Top 10 peaks for 2θ from 10° to 80°, by angle:
24.04°, intensity 48; 24.64°, intensity 46; 37.87°, intensity 100; 38.53°, intensity 14; 38.93°, intensity 13; 42.45°, intensity 18; 44.06°, intensity 16; 45.47°, intensity 15; 51.13°, intensity 12; 74.62°, intensity 12

Crystal structure
Cell: 5.133 5.133 5.133 Å, 134.26 132.78 67.84°
Atoms (fractional coordinates):
Li: 0.000 0.000 0.000
Mg: 0.251 0.751 0.500
Ag: 0.502 0.502 0.000
Ag: 0.753 0.253 0.500